Starting from a structure optimized by DFT (PBE), the powder diffractogram of Cr3Pb3N5 was simulated for a wavelength of 1.5418 Å.

Structural model:
a b c (Å): 5.7829 7.4770 8.4089
angles (deg): 104.24 99.14 96.92
Fractional coordinates of all 22 atoms:
Cr 0.0671 0.1771 0.0276
Cr 0.0863 0.4274 0.7220
Cr 0.3143 0.5010 0.3973
Cr 0.6857 0.4990 0.6027
Cr 0.9137 0.5726 0.2780
Cr 0.9329 0.8229 0.9724
Pb 0.2398 0.0532 0.4596
Pb 0.3826 0.8295 0.7717
Pb 0.4329 0.6971 0.1334
Pb 0.5671 0.3029 0.8666
Pb 0.6174 0.1705 0.2283
Pb 0.7602 0.9468 0.5404
N 0.0672 0.3573 0.2252
N 0.1184 0.3084 0.8812
N 0.1738 0.7045 0.4290
N 0.2236 0.9732 0.0330
N 0.3493 0.4491 0.6055
N 0.6507 0.5509 0.3945
N 0.7764 0.0268 0.9670
N 0.8262 0.2955 0.5710
N 0.8816 0.6916 0.1188
N 0.9328 0.6427 0.7748

Peak list (8 most intense, 15° ≤ 2θ ≤ 90°, sorted by position)
| hkl | Position (°2θ) | d [Å] | I (rel.) |
| --- | --- | --- | --- |
| 1 0 0 | 15.74 | 5.630 | 436 |
| 1 -1 2 | 28.78 | 3.102 | 760 |
| 0 2 1 | 30.03 | 2.976 | 1000 |
| 1 2 -2 | 32.76 | 2.734 | 783 |
| -2 1 1 | 33.15 | 2.702 | 536 |
| 1 0 -3 | 34.29 | 2.615 | 714 |
| 2 1 0 | 36.20 | 2.482 | 470 |
| 1 -3 1 | 38.06 | 2.364 | 422 |